# Nb6OsRu
Simulated powder diffraction line list, Cu Kα X-rays. Input: a PBE-relaxed structure.
No peak broadening, texture or thermal motion is included.

Atomic structure:
```
Nb6OsRu
1.0
6.478 0.000 0.000
0.000 9.177 0.000
0.000 0.000 4.579
Nb Os Ru
12 2 2
Direct
0.000 0.250 0.000
0.000 0.750 0.000
0.249 0.000 0.000
0.250 0.250 0.500
0.250 0.750 0.500
0.251 0.500 0.000
0.500 0.250 0.000
0.500 0.750 0.000
0.749 0.500 0.000
0.750 0.250 0.500
0.750 0.750 0.500
0.751 0.000 0.000
0.000 0.000 0.500
0.500 0.500 0.500
0.000 0.500 0.500
0.500 0.000 0.500
```

The 6 most intense peaks (2θ from 10° to 80°), low angle first:
- 16.75 deg, rel. 2.5
- 19.36 deg, rel. 2.4
- 39.32 deg, rel. 100.0
- 56.82 deg, rel. 16.8
- 71.24 deg, rel. 16.8
- 71.33 deg, rel. 16.7